(1)
Diffraction record for La8Ho6Cd. The powder diffractogram is theoretical, not measured: it uses a crystal structure in Alexandria, relaxed with PBE and λ = 1.5418 Å (Cu Kα).
Lines closer than 0.1° are merged.

Cell and atoms:
Lattice parameters (Å, degrees): 9.3736 9.3736 6.6568 90.00 90.00 120.00
Space group P-3 (No. 147)
Asymmetric unit:
La (0.0483, 0.7680, 0.3252)
La (0.3333, 0.6667, 0.3672)
Ho (0.1015, 0.6550, 0.8435)
Cd (0.0000, 0.0000, 0.0000)

Largest 12 diffraction maxima, in order of rising 2θ, 2θ = 10–90°:
2θ 25.71, rel. 18, (2 0 1)
2θ 28.99, rel. 24, (1 0 2)
2θ 29.10, rel. 33, (1 2 0)
2θ 32.12, rel. 100, (1 2 1)
2θ 33.03, rel. 49, (2 -1 2)
2θ 39.98, rel. 9, (3 -1 2)
2θ 50.78, rel. 8, (2 1 3)
2θ 50.92, rel. 11, (5 -2 1)
2θ 51.60, rel. 16, (4 1 0)
2θ 52.84, rel. 8, (0 4 2)
2θ 58.39, rel. 9, (3 1 3)
2θ 62.09, rel. 11, (4 2 1)


(2)
Diffraction record for Li2PmSbS4. The powder diffractogram is theoretical, not measured: it uses a crystal structure in Alexandria, relaxed with PBE and λ = 1.5418 Å (Cu Kα).
Lines closer than 0.1° are merged.

Cell and atoms:
Lattice parameters (Å, degrees): 7.771 7.931 11.132 90.00 90.00 90.00
Space group Imma (No. 74)
Asymmetric unit:
Li (0.000, 0.000, 0.000)
Li (0.250, 0.250, 0.250)
Pm (0.000, 0.000, 0.500)
Sb (0.250, 0.250, 0.750)
S (0.000, 0.000, 0.247)
S (0.245, 0.250, 0.998)

Largest 12 diffraction maxima, in order of rising 2θ, 2θ = 10–90°:
2θ 13.71, rel. 41, (0 1 1)
2θ 13.90, rel. 55, (1 0 1)
2θ 26.48, rel. 35, (1 2 1)
2θ 26.62, rel. 13, (1 0 3)
2θ 26.78, rel. 17, (2 1 1)
2θ 27.62, rel. 12, (0 2 2)
2θ 32.22, rel. 100, (2 2 0)
2θ 35.07, rel. 14, (1 2 3)
2θ 45.76, rel. 12, (0 4 0)
2θ 46.19, rel. 47, (2 2 4)
2θ 57.03, rel. 12, (0 4 4)
2θ 57.89, rel. 12, (4 0 4)